Record 1
Structure and simulated X-ray powder pattern of LiCl (a cell relaxed with GGA-PBE; Cu Kα, 1.54184 Å).
Kinematic intensities with the Lorentz-polarization factor, no thermal factor.

Largest 10 diffraction maxima, by angle, 2θ from 10° to 90°:
| 2θ (°) | I/Imax | hkl |
| --- | --- | --- |
| 18.44 | 779 | 1 1 0 |
| 26.19 | 153 | 2 0 0 |
| 29.35 | 1000 | 2 1 0 |
| 32.22 | 334 | 2 1 1 |
| 41.99 | 146 | 3 1 0 |
| 46.22 | 320 | 2 2 2 |
| 48.22 | 199 | 3 2 0 |
| 50.16 | 163 | 3 2 1 |
| 53.90 | 144 | 4 0 0 |
| 62.56 | 164 | 4 2 1 |

Structural model:
```
data_LiCl
_cell_length_a 6.804
_cell_length_b 6.804
_cell_length_c 6.804
_cell_angle_alpha 90.00
_cell_angle_beta 90.00
_cell_angle_gamma 90.00
_space_group_name_H-M_alt 'P m -3 n'
_space_group_IT_number 223
_space_group_name_Hall '-P 4n 2 3'
loop_
_atom_site_label
_atom_site_fract_x
_atom_site_fract_y
_atom_site_fract_z
Li1 0.000 0.250 0.500
Cl1 0.000 0.500 0.250
```

***

Record 2
Structure and simulated X-ray powder pattern of Li3Cl (a cell relaxed with GGA-PBE; Cu Kα, 1.54184 Å).
Kinematic intensities with the Lorentz-polarization factor, no thermal factor.

Largest 10 diffraction maxima, by angle, 2θ from 10° to 90°:
| 2θ (°) | I/Imax | hkl |
| --- | --- | --- |
| 10.60 | 1000 | 0 0 1 |
| 21.30 | 185 | 0 0 2 |
| 30.31 | 245 | 1 0 0 |
| 32.20 | 274 | 1 0 1 |
| 37.35 | 384 | 1 0 2 |
| 44.80 | 140 | 1 0 3 |
| 53.85 | 177 | 1 1 0 |
| 55.05 | 77 | 0 0 5 |
| 64.14 | 58 | 2 0 1 |
| 67.36 | 69 | 0 0 6 |

Structural model:
```
data_Li3Cl
_cell_length_a 3.4049
_cell_length_b 3.4049
_cell_length_c 8.3425
_cell_angle_alpha 90.00
_cell_angle_beta 90.00
_cell_angle_gamma 120.00
_space_group_name_H-M_alt 'P -6 m 2'
_space_group_IT_number 187
_space_group_name_Hall 'P -6 2'
loop_
_atom_site_label
_atom_site_fract_x
_atom_site_fract_y
_atom_site_fract_z
Li1 0.0000 0.0000 0.0000
Li2 0.6667 0.3333 0.3147
Cl1 0.0000 0.0000 0.5000
```

***

Record 3
Structure and simulated X-ray powder pattern of LiCl (a cell relaxed with GGA-PBE; Cu Kα, 1.54184 Å).
Kinematic intensities with the Lorentz-polarization factor, no thermal factor.

Largest 10 diffraction maxima, by angle, 2θ from 10° to 90°:
| 2θ (°) | I/Imax | hkl |
| --- | --- | --- |
| 19.11 | 1000 | 0 0 6 |
| 26.03 | 574 | 1 0 1 |
| 26.63 | 330 | 0 1 2 |
| 28.89 | 218 | 1 0 4 |
| 30.48 | 320 | 0 1 5 |
| 34.41 | 277 | 1 0 7 |
| 36.67 | 150 | 0 1 8 |
| 45.56 | 237 | 1 1 0 |
| 49.83 | 351 | 1 1 6 |
| 61.33 | 174 | 1 1 12 |

Structural model:
```
data_LiCl
_cell_length_a 3.9824
_cell_length_b 3.9824
_cell_length_c 27.8642
_cell_angle_alpha 90.00
_cell_angle_beta 90.00
_cell_angle_gamma 120.00
_space_group_name_H-M_alt 'R -3 m'
_space_group_IT_number 166
_space_group_name_Hall '-R 3 2"'
loop_
_atom_site_label
_atom_site_fract_x
_atom_site_fract_y
_atom_site_fract_z
Li1 0.0000 0.0000 0.0856
Cl1 0.0000 0.0000 0.4187
```

***

Record 4
Structure and simulated X-ray powder pattern of LiCl (a cell relaxed with GGA-PBE; Cu Kα, 1.54184 Å).
Kinematic intensities with the Lorentz-polarization factor, no thermal factor.

Largest 10 diffraction maxima, by angle, 2θ from 10° to 90°:
| 2θ (°) | I/Imax | hkl |
| --- | --- | --- |
| 15.31 | 915 | 1 0 1 |
| 26.26 | 411 | 0 0 2 |
| 27.10 | 484 | 0 1 1 |
| 27.48 | 1000 | 3 0 1 |
| 28.30 | 680 | 1 1 1 |
| 28.68 | 526 | 2 1 0 |
| 30.90 | 515 | 2 0 2 |
| 31.63 | 294 | 2 1 1 |
| 35.63 | 414 | 0 1 2 |
| 49.58 | 317 | 5 1 1 |

Structural model:
```
data_LiCl
_cell_length_a 11.087
_cell_length_b 3.761
_cell_length_c 6.787
_cell_angle_alpha 90.00
_cell_angle_beta 90.00
_cell_angle_gamma 90.00
_space_group_name_H-M_alt 'P m n 21'
_space_group_IT_number 31
loop_
_space_group_symop_operation_xyz
'x,y,z'
'-x+1/2,-y,z+1/2'
'-x,y,z'
'x+1/2,-y,z+1/2'
loop_
_atom_site_label
_atom_site_fract_x
_atom_site_fract_y
_atom_site_fract_z
Li1 0.000 0.020 0.000
Li2 0.213 0.362 0.213
Cl1 0.000 0.521 0.222
Cl2 0.197 0.138 0.873
```

***

Record 5
Structure and simulated X-ray powder pattern of LiCl (a cell relaxed with GGA-PBE; Cu Kα, 1.54184 Å).
Kinematic intensities with the Lorentz-polarization factor, no thermal factor.

Largest 10 diffraction maxima, by angle, 2θ from 10° to 90°:
| 2θ (°) | I/Imax | hkl |
| --- | --- | --- |
| 19.44 | 88 | 0 0 1 |
| 28.21 | 1000 | 1 0 1 |
| 28.78 | 364 | 1 1 0 |
| 41.15 | 214 | 2 0 0 |
| 49.58 | 199 | 1 1 2 |
| 50.64 | 310 | 2 1 1 |
| 59.61 | 63 | 2 2 0 |
| 67.23 | 61 | 3 0 1 |
| 81.13 | 86 | 3 1 2 |
| 81.95 | 71 | 3 2 1 |

Structural model:
```
data_LiCl
_cell_length_a 4.387
_cell_length_b 4.387
_cell_length_c 4.565
_cell_angle_alpha 90.00
_cell_angle_beta 90.00
_cell_angle_gamma 90.00
_space_group_name_H-M_alt 'P 4/n m m'
_space_group_IT_number 129
loop_
_space_group_symop_operation_xyz
'x,y,z'
'-x,-y,-z'
'-y+1/2,x,z'
'y+1/2,-x,-z'
'-x+1/2,-y+1/2,z'
'x+1/2,y+1/2,-z'
'y,-x+1/2,z'
'-y,x+1/2,-z'
'x+1/2,-y,-z'
'-x+1/2,y,z'
'-y,-x,-z'
'y,x,z'
'-x,y+1/2,-z'
'x,-y+1/2,z'
'y+1/2,x+1/2,-z'
'-y+1/2,-x+1/2,z'
loop_
_atom_site_label
_atom_site_fract_x
_atom_site_fract_y
_atom_site_fract_z
Li1 0.250 0.750 0.000
Cl1 0.250 0.250 0.217
```

***

Record 6
Structure and simulated X-ray powder pattern of Li5Cl4 (a cell relaxed with GGA-PBE; Cu Kα, 1.54184 Å).
Kinematic intensities with the Lorentz-polarization factor, no thermal factor.

Largest 10 diffraction maxima, by angle, 2θ from 10° to 90°:
| 2θ (°) | I/Imax | hkl |
| --- | --- | --- |
| 24.54 | 279 | 0 0 2 |
| 26.85 | 697 | 1 1 1 |
| 27.58 | 1000 | 2 0 0 |
| 28.20 | 520 | 1 0 2 |
| 34.47 | 944 | 1 1 2 |
| 38.87 | 511 | 2 1 1 |
| 41.90 | 200 | 3 0 0 |
| 44.68 | 366 | 1 1 3 |
| 52.55 | 374 | 3 1 1 |
| 57.29 | 214 | 3 1 2 |

Structural model:
```
data_Li5Cl4
_cell_length_a 7.4685
_cell_length_b 7.4685
_cell_length_c 7.2559
_cell_angle_alpha 90.00
_cell_angle_beta 90.00
_cell_angle_gamma 120.00
_space_group_name_H-M_alt 'P 63/m c m'
_space_group_IT_number 193
_space_group_name_Hall '-P 6c 2'
loop_
_atom_site_label
_atom_site_fract_x
_atom_site_fract_y
_atom_site_fract_z
Li1 0.0000 0.2446 0.2500
Li2 0.3333 0.6667 0.0000
Cl1 0.0000 0.0000 0.0000
Cl2 0.0000 0.4184 0.7500
```